No. 1
Calculated powder diffractogram
Compound: Pt5Rh2Au
Radiation: λ = 1.5418 Å (Cu Kα)
Structure: a structure optimized by DFT (GGA-PBE)

Largest 8 diffraction maxima, in order of falling intensity, 2θ from 10° to 90°:
40.8°, 2.213 Å, I = 100
41.9°, 2.156 Å, I = 71
41.1°, 2.198 Å, I = 56
41.2°, 2.192 Å, I = 55
40.0°, 2.252 Å, I = 48
40.3°, 2.236 Å, I = 46
41.4°, 2.182 Å, I = 38
35.4°, 2.539 Å, I = 37

Cell and atoms:
Lattice parameters (Å, degrees): 6.766 8.912 9.436 77.02 69.11 89.86
Fractional coordinates of all 32 atoms:
1 Pt 0.005 0.427 0.270
2 Pt 0.022 0.085 0.344
3 Pt 0.080 0.239 0.548
4 Pt 0.149 0.072 0.041
5 Pt 0.191 0.426 0.958
6 Pt 0.276 0.071 0.729
7 Pt 0.367 0.415 0.655
8 Pt 0.370 0.741 0.548
9 Pt 0.385 0.605 0.080
10 Pt 0.471 0.895 0.917
11 Pt 0.529 0.105 0.083
12 Pt 0.615 0.395 0.920
13 Pt 0.630 0.259 0.452
14 Pt 0.633 0.585 0.345
15 Pt 0.724 0.929 0.271
16 Pt 0.809 0.574 0.042
17 Pt 0.851 0.928 0.959
18 Pt 0.920 0.761 0.452
19 Pt 0.978 0.915 0.656
20 Pt 0.995 0.573 0.730
21 Rh 0.019 0.743 0.152
22 Rh 0.171 0.756 0.851
23 Rh 0.207 0.539 0.430
24 Rh 0.362 0.040 0.429
25 Rh 0.638 0.960 0.571
26 Rh 0.793 0.461 0.570
27 Rh 0.829 0.244 0.149
28 Rh 0.981 0.257 0.848
29 Au 0.347 0.826 0.249
30 Au 0.407 0.329 0.250
31 Au 0.593 0.671 0.750
32 Au 0.653 0.174 0.751

---

No. 2
Calculated powder diffractogram
Compound: Pt12Rh6Au
Radiation: λ = 1.5418 Å (Cu Kα)
Structure: a structure optimized by DFT (GGA-PBE)

Largest 8 diffraction maxima, in order of falling intensity, 2θ from 10° to 90°:
39.7°, 2.272 Å, I = 100
41.3°, 2.188 Å, I = 81
39.7°, 2.269 Å, I = 71
38.9°, 2.316 Å, I = 70
42.0°, 2.152 Å, I = 65
40.2°, 2.244 Å, I = 45
42.4°, 2.134 Å, I = 36
44.7°, 2.027 Å, I = 36

Cell and atoms:
Lattice parameters (Å, degrees): 6.967 6.995 7.738 106.04 97.06 118.69
Fractional coordinates of all 19 atoms:
1 Pt 0.053 0.101 0.198
2 Pt 0.197 0.670 0.657
3 Pt 0.216 0.580 0.298
4 Pt 0.268 0.412 0.960
5 Pt 0.351 0.140 0.712
6 Pt 0.382 0.040 0.361
7 Pt 0.618 0.960 0.639
8 Pt 0.649 0.860 0.288
9 Pt 0.732 0.588 0.040
10 Pt 0.784 0.420 0.702
11 Pt 0.803 0.330 0.343
12 Pt 0.947 0.899 0.802
13 Rh 0.036 0.218 0.585
14 Rh 0.149 0.729 0.006
15 Rh 0.437 0.162 0.056
16 Rh 0.563 0.838 0.944
17 Rh 0.851 0.271 0.994
18 Rh 0.964 0.782 0.415
19 Au 0.500 0.500 0.500

---

No. 3
Calculated powder diffractogram
Compound: Pt12Rh5Au
Radiation: λ = 1.5418 Å (Cu Kα)
Structure: a structure optimized by DFT (GGA-PBE)

Largest 8 diffraction maxima, in order of falling intensity, 2θ from 10° to 90°:
39.5°, 2.279 Å, I = 100
46.0°, 1.973 Å, I = 65
39.6°, 2.274 Å, I = 33
67.1°, 1.394 Å, I = 28
80.7°, 1.190 Å, I = 26
80.9°, 1.189 Å, I = 21
67.0°, 1.397 Å, I = 14
85.2°, 1.139 Å, I = 8

Cell and atoms:
Lattice parameters (Å, degrees): 8.361 8.361 4.841 106.80 106.80 60.06
Fractional coordinates of all 18 atoms:
1 Pt 0.001 0.332 0.499
2 Pt 0.163 0.837 0.000
3 Pt 0.165 0.498 0.998
4 Pt 0.331 0.669 0.500
5 Pt 0.332 0.001 0.499
6 Pt 0.498 0.165 0.998
7 Pt 0.502 0.835 0.002
8 Pt 0.668 0.999 0.501
9 Pt 0.669 0.331 0.500
10 Pt 0.835 0.502 0.002
11 Pt 0.837 0.163 0.000
12 Pt 0.999 0.668 0.501
13 Rh 0.000 0.000 0.500
14 Rh 0.166 0.166 0.997
15 Rh 0.331 0.331 0.490
16 Rh 0.669 0.669 0.510
17 Rh 0.834 0.834 0.003
18 Au 0.500 0.500 0.000

---

No. 4
Calculated powder diffractogram
Compound: Ru2PtAu
Radiation: λ = 1.5418 Å (Cu Kα)
Structure: a structure optimized by DFT (GGA-PBE)

Largest 8 diffraction maxima, in order of falling intensity, 2θ from 10° to 90°:
39.2°, 2.297 Å, I = 100
39.9°, 2.258 Å, I = 98
45.3°, 2.002 Å, I = 66
67.7°, 1.384 Å, I = 40
47.5°, 1.916 Å, I = 35
80.5°, 1.193 Å, I = 25
79.1°, 1.211 Å, I = 24
28.0°, 3.187 Å, I = 19

Cell and atoms:
Lattice parameters (Å, degrees): 2.793 3.833 5.739 90.00 90.00 90.00
Fractional coordinates of all 4 atoms:
1 Ru 0.000 0.000 0.000
2 Ru 0.500 0.500 0.208
3 Pt 0.500 0.500 0.745
4 Au 0.000 0.000 0.479

---

No. 5
Calculated powder diffractogram
Compound: PtAuS
Radiation: λ = 1.5418 Å (Cu Kα)
Structure: a structure optimized by DFT (GGA-PBE)

Largest 8 diffraction maxima, in order of falling intensity, 2θ from 10° to 90°:
40.2°, 2.242 Å, I = 100
34.2°, 2.621 Å, I = 82
31.9°, 2.809 Å, I = 69
25.9°, 3.439 Å, I = 54
38.2°, 2.355 Å, I = 49
51.9°, 1.762 Å, I = 46
13.7°, 6.472 Å, I = 29
33.4°, 2.684 Å, I = 28

Cell and atoms:
Lattice parameters (Å, degrees): 5.906 5.906 7.066 112.88 112.88 28.58
Fractional coordinates of all 6 atoms:
1 Pt 0.131 0.131 0.285
2 Pt 0.869 0.869 0.715
3 Au 0.129 0.129 0.902
4 Au 0.871 0.871 0.098
5 S 0.359 0.359 0.439
6 S 0.641 0.641 0.561

---

No. 6
Calculated powder diffractogram
Compound: Sm4PtAuS2
Radiation: λ = 1.5418 Å (Cu Kα)
Structure: a structure optimized by DFT (GGA-PBE)

Largest 8 diffraction maxima, in order of falling intensity, 2θ from 10° to 90°:
30.6°, 2.924 Å, I = 100
42.6°, 2.122 Å, I = 27
44.9°, 2.017 Å, I = 23
12.4°, 7.137 Å, I = 21
25.9°, 3.445 Å, I = 14
42.5°, 2.129 Å, I = 13
55.4°, 1.657 Å, I = 12
63.6°, 1.462 Å, I = 12

Cell and atoms:
Lattice parameters (Å, degrees): 6.995 4.023 7.501 90.00 107.92 90.00
Fractional coordinates of all 8 atoms:
1 Sm 0.240 0.000 0.243
2 Sm 0.244 0.500 0.751
3 Sm 0.756 0.500 0.249
4 Sm 0.760 0.000 0.757
5 Pt 0.000 0.000 0.500
6 Au 0.500 0.500 0.500
7 S 0.000 0.500 0.000
8 S 0.500 0.000 0.000

---

No. 7
Calculated powder diffractogram
Compound: Sc2Pt3Au
Radiation: λ = 1.5418 Å (Cu Kα)
Structure: a structure optimized by DFT (GGA-PBE)

Largest 8 diffraction maxima, in order of falling intensity, 2θ from 10° to 90°:
21.5°, 4.138 Å, I = 100
42.7°, 2.117 Å, I = 63
40.5°, 2.228 Å, I = 56
33.9°, 2.644 Å, I = 29
35.0°, 2.565 Å, I = 29
43.8°, 2.069 Å, I = 24
38.9°, 2.314 Å, I = 20
53.4°, 1.714 Å, I = 17

Cell and atoms:
Lattice parameters (Å, degrees): 7.272 7.272 7.272 110.63 86.69 134.87
Fractional coordinates of all 12 atoms:
1 Sc 0.139 0.218 0.357
2 Sc 0.361 0.718 0.079
3 Sc 0.639 0.282 0.921
4 Sc 0.861 0.782 0.643
5 Pt 0.017 0.750 0.267
6 Pt 0.250 0.250 0.000
7 Pt 0.483 0.750 0.733
8 Pt 0.517 0.250 0.267
9 Pt 0.750 0.750 0.000
10 Pt 0.983 0.250 0.733
11 Au 0.000 0.500 0.500
12 Au 0.500 0.000 0.500

---

No. 8
Calculated powder diffractogram
Compound: Sc4Pt2Au3
Radiation: λ = 1.5418 Å (Cu Kα)
Structure: a structure optimized by DFT (GGA-PBE)

Largest 8 diffraction maxima, in order of falling intensity, 2θ from 10° to 90°:
37.1°, 2.425 Å, I = 100
37.6°, 2.392 Å, I = 100
38.8°, 2.320 Å, I = 47
40.6°, 2.220 Å, I = 46
25.2°, 3.536 Å, I = 43
31.1°, 2.878 Å, I = 24
27.4°, 3.252 Å, I = 21
50.0°, 1.823 Å, I = 17

Cell and atoms:
Lattice parameters (Å, degrees): 4.439 4.822 8.939 84.55 89.86 62.67
Fractional coordinates of all 9 atoms:
1 Sc 0.025 0.447 0.330
2 Sc 0.339 0.821 0.114
3 Sc 0.661 0.179 0.886
4 Sc 0.975 0.553 0.670
5 Pt 0.316 0.869 0.800
6 Pt 0.684 0.131 0.200
7 Au 0.000 0.500 0.000
8 Au 0.340 0.819 0.451
9 Au 0.660 0.181 0.549

---

No. 9
Calculated powder diffractogram
Compound: Sc4PtAu3
Radiation: λ = 1.5418 Å (Cu Kα)
Structure: a structure optimized by DFT (GGA-PBE)

Largest 8 diffraction maxima, in order of falling intensity, 2θ from 10° to 90°:
37.7°, 2.389 Å, I = 100
26.4°, 3.380 Å, I = 73
37.6°, 2.393 Å, I = 50
68.0°, 1.379 Å, I = 26
46.5°, 1.952 Å, I = 23
67.8°, 1.382 Å, I = 18
54.2°, 1.692 Å, I = 17
61.3°, 1.512 Å, I = 16

Cell and atoms:
Lattice parameters (Å, degrees): 3.373 4.791 9.561 90.00 90.00 90.00
Fractional coordinates of all 8 atoms:
1 Sc 0.000 0.000 0.000
2 Sc 0.000 0.000 0.500
3 Sc 0.000 0.500 0.241
4 Sc 0.000 0.500 0.759
5 Pt 0.500 0.500 0.000
6 Au 0.500 0.000 0.252
7 Au 0.500 0.000 0.748
8 Au 0.500 0.500 0.500

---

No. 10
Calculated powder diffractogram
Compound: Sc5Pt4Au
Radiation: λ = 1.5418 Å (Cu Kα)
Structure: a structure optimized by DFT (GGA-PBE)

Largest 8 diffraction maxima, in order of falling intensity, 2θ from 10° to 90°:
38.1°, 2.361 Å, I = 100
38.8°, 2.320 Å, I = 48
27.2°, 3.282 Å, I = 47
69.8°, 1.347 Å, I = 33
26.2°, 3.398 Å, I = 25
47.4°, 1.916 Å, I = 22
68.4°, 1.371 Å, I = 17
56.0°, 1.641 Å, I = 16

Cell and atoms:
Lattice parameters (Å, degrees): 3.282 3.282 16.991 90.00 90.00 90.00
Fractional coordinates of all 10 atoms:
1 Sc 0.000 0.000 0.000
2 Sc 0.000 0.000 0.198
3 Sc 0.000 0.000 0.395
4 Sc 0.000 0.000 0.605
5 Sc 0.000 0.000 0.802
6 Pt 0.500 0.500 0.099
7 Pt 0.500 0.500 0.296
8 Pt 0.500 0.500 0.704
9 Pt 0.500 0.500 0.901
10 Au 0.500 0.500 0.500

---

No. 11
Calculated powder diffractogram
Compound: SiPtAu
Radiation: λ = 1.5418 Å (Cu Kα)
Structure: a structure optimized by DFT (GGA-PBE)

Largest 8 diffraction maxima, in order of falling intensity, 2θ from 10° to 90°:
34.2°, 2.622 Å, I = 100
30.7°, 2.915 Å, I = 66
31.2°, 2.865 Å, I = 61
13.5°, 6.576 Å, I = 54
42.0°, 2.153 Å, I = 51
39.2°, 2.301 Å, I = 43
43.7°, 2.071 Å, I = 37
44.7°, 2.028 Å, I = 32

Cell and atoms:
Lattice parameters (Å, degrees): 6.930 6.305 4.976 90.00 108.39 90.00
Fractional coordinates of all 12 atoms:
1 Si 0.117 0.044 0.316
2 Si 0.117 0.456 0.816
3 Si 0.883 0.544 0.184
4 Si 0.883 0.956 0.684
5 Pt 0.215 0.095 0.838
6 Pt 0.215 0.405 0.338
7 Pt 0.785 0.595 0.662
8 Pt 0.785 0.905 0.162
9 Au 0.413 0.668 0.813
10 Au 0.413 0.832 0.313
11 Au 0.587 0.168 0.687
12 Au 0.587 0.332 0.187

---

No. 12
Calculated powder diffractogram
Compound: SmSi2Pt5Au
Radiation: λ = 1.5418 Å (Cu Kα)
Structure: a structure optimized by DFT (GGA-PBE)

Largest 8 diffraction maxima, in order of falling intensity, 2θ from 10° to 90°:
35.4°, 2.538 Å, I = 100
44.7°, 2.026 Å, I = 53
24.4°, 3.647 Å, I = 52
32.3°, 2.772 Å, I = 34
40.0°, 2.253 Å, I = 33
45.9°, 1.978 Å, I = 32
51.6°, 1.771 Å, I = 28
69.3°, 1.355 Å, I = 24

Cell and atoms:
Lattice parameters (Å, degrees): 4.053 4.053 10.940 90.00 90.00 90.00
Fractional coordinates of all 9 atoms:
1 Sm 0.000 0.000 0.000
2 Si 0.500 0.500 0.214
3 Si 0.500 0.500 0.786
4 Pt 0.000 0.500 0.323
5 Pt 0.000 0.500 0.677
6 Pt 0.500 0.000 0.323
7 Pt 0.500 0.000 0.677
8 Pt 0.500 0.500 0.000
9 Au 0.000 0.000 0.500

---

No. 13
Calculated powder diffractogram
Compound: Sr2Si4Pt3Au
Radiation: λ = 1.5418 Å (Cu Kα)
Structure: a structure optimized by DFT (GGA-PBE)

Largest 8 diffraction maxima, in order of falling intensity, 2θ from 10° to 90°:
30.4°, 2.943 Å, I = 100
34.2°, 2.623 Å, I = 80
41.5°, 2.177 Å, I = 73
33.8°, 2.649 Å, I = 58
46.8°, 1.943 Å, I = 46
27.1°, 3.286 Å, I = 38
26.7°, 3.339 Å, I = 30
54.6°, 1.682 Å, I = 30

Cell and atoms:
Lattice parameters (Å, degrees): 4.354 4.354 10.016 90.00 90.00 90.00
Fractional coordinates of all 10 atoms:
1 Sr 0.000 0.500 0.244
2 Sr 0.500 0.000 0.756
3 Si 0.000 0.000 0.000
4 Si 0.000 0.500 0.633
5 Si 0.500 0.000 0.367
6 Si 0.500 0.500 0.000
7 Pt 0.000 0.500 0.881
8 Pt 0.500 0.000 0.119
9 Pt 0.500 0.500 0.500
10 Au 0.000 0.000 0.500